The following is a computed powder XRD pattern of NaV2O3. It was derived from DFT lattice parameters and positions (GGA+U), using CuKα.
Lines closer than 0.1° are merged.

Crystal structure
Cell: 5.5009 2.9959 8.1814 Å, 90.00 101.74 90.00°
Fractional coordinates of all 12 atoms:
Na1 0.0251 0.2500 0.3390
Na2 0.9749 0.7500 0.6610
V1 0.2458 0.2500 0.9917
V2 0.4870 0.2500 0.6661
V3 0.5130 0.7500 0.3339
V4 0.7542 0.7500 0.0083
O1 0.1429 0.7500 0.1393
O2 0.2968 0.7500 0.5104
O3 0.3918 0.7500 0.8495
O4 0.6082 0.2500 0.1505
O5 0.7032 0.2500 0.4896
O6 0.8571 0.2500 0.8607

Most intense lines, 2θ from 10° to 90°, in order of rising 2θ:
- (1 0 0), 5.386 Å, 16.5 deg, I 36
- (1 1 1), 2.419 Å, 37.2 deg, I 66
- (2 0 1), 2.409 Å, 37.3 deg, I 49
- (1 1 -2), 2.298 Å, 39.2 deg, I 100
- (1 1 -3), 1.969 Å, 46.1 deg, I 39
- (3 1 -1), 1.564 Å, 59.1 deg, I 45